[1]
Theoretical X-ray diffraction stick pattern of NaPu2Pb9 for a wavelength of 1.5418 Å, from a DFT-relaxed cell (GGA-PBE, Alexandria).

Principal peaks in the range 10° ≤ 2θ ≤ 90°, by angle:
| d [Å] | 2θ/deg | intensity |
| --- | --- | --- |
| 2.822 | 31.7 | 100 |
| 2.473 | 36.3 | 17 |
| 2.429 | 37.0 | 34 |
| 1.733 | 52.8 | 24 |
| 1.718 | 53.3 | 12 |
| 1.486 | 62.5 | 14 |
| 1.467 | 63.4 | 29 |
| 1.411 | 66.2 | 12 |
| 1.124 | 86.6 | 12 |
| 1.116 | 87.4 | 6 |

Cell and atoms:
```
data_NaPu2Pb9
_chemical_formula_sum 'Na1 Pu2 Pb9'
_symmetry_space_group_name_H-M 'P 4/m m m'
_symmetry_Int_Tables_number 123
_symmetry_space_group_name_Hall '-P 4 2'
_cell_length_a 4.859
_cell_length_b 4.859
_cell_length_c 14.837
_cell_angle_alpha 90.00
_cell_angle_beta 90.00
_cell_angle_gamma 90.00
loop_
_atom_site_label
_atom_site_type_symbol
_atom_site_fract_x
_atom_site_fract_y
_atom_site_fract_z
Na1 Na 0.000 0.000 0.000
Pu1 Pu 0.000 0.000 0.341
Pb1 Pb 0.000 0.500 0.167
Pb2 Pb 0.000 0.500 0.500
Pb3 Pb 0.500 0.500 0.000
Pb4 Pb 0.500 0.500 0.332
```

---

[2]
Theoretical X-ray diffraction stick pattern of PuTaMn4 for a wavelength of 1.5418 Å, from a DFT-relaxed cell (GGA-PBE, Alexandria).

Principal peaks in the range 10° ≤ 2θ ≤ 90°, by angle:
| d [Å] | 2θ/deg | intensity |
| --- | --- | --- |
| 4.025 | 22.1 | 36 |
| 2.465 | 36.5 | 82 |
| 2.102 | 43.0 | 100 |
| 2.012 | 45.0 | 9 |
| 1.599 | 57.6 | 10 |
| 1.423 | 65.6 | 31 |
| 1.342 | 70.1 | 31 |
| 1.232 | 77.4 | 21 |
| 1.178 | 81.7 | 8 |
| 1.102 | 88.8 | 14 |

Cell and atoms:
```
data_PuTaMn4
_chemical_formula_sum 'Pu4 Ta4 Mn16'
_symmetry_space_group_name_H-M 'F -4 3 m'
_symmetry_Int_Tables_number 216
_symmetry_space_group_name_Hall 'F -4 2 3'
_cell_length_a 6.971
_cell_length_b 6.971
_cell_length_c 6.971
_cell_angle_alpha 90.00
_cell_angle_beta 90.00
_cell_angle_gamma 90.00
loop_
_atom_site_label
_atom_site_type_symbol
_atom_site_fract_x
_atom_site_fract_y
_atom_site_fract_z
Pu1 Pu 0.000 0.000 0.000
Ta1 Ta 0.250 0.250 0.750
Mn1 Mn 0.124 0.124 0.376
```

---

[3]
Theoretical X-ray diffraction stick pattern of ZrAs for a wavelength of 1.5418 Å, from a DFT-relaxed cell (GGA-PBE, Alexandria).

Principal peaks in the range 10° ≤ 2θ ≤ 90°, by angle:
| d [Å] | 2θ/deg | intensity |
| --- | --- | --- |
| 3.369 | 26.5 | 1 |
| 2.383 | 37.8 | 100 |
| 1.685 | 54.5 | 17 |
| 1.376 | 68.2 | 34 |
| 1.191 | 80.7 | 11 |

Cell and atoms:
```
data_ZrAs
_chemical_formula_sum 'Zr1 As1'
_symmetry_space_group_name_H-M 'P m -3 m'
_symmetry_Int_Tables_number 221
_symmetry_space_group_name_Hall '-P 4 2 3'
_cell_length_a 3.369
_cell_length_b 3.369
_cell_length_c 3.369
_cell_angle_alpha 90.00
_cell_angle_beta 90.00
_cell_angle_gamma 90.00
loop_
_atom_site_label
_atom_site_type_symbol
_atom_site_fract_x
_atom_site_fract_y
_atom_site_fract_z
Zr1 Zr 0.000 0.000 0.000
As1 As 0.500 0.500 0.500
```

---

[4]
Theoretical X-ray diffraction stick pattern of Bi2Au2S5 for a wavelength of 1.5418 Å, from a DFT-relaxed cell (GGA-PBE, Alexandria).

Principal peaks in the range 10° ≤ 2θ ≤ 90°, by angle:
| d [Å] | 2θ/deg | intensity |
| --- | --- | --- |
| 3.411 | 26.1 | 100 |
| 3.278 | 27.2 | 93 |
| 3.248 | 27.5 | 57 |
| 3.036 | 29.4 | 43 |
| 2.587 | 34.7 | 38 |
| 2.548 | 35.2 | 38 |
| 2.078 | 43.6 | 28 |
| 2.003 | 45.3 | 41 |
| 1.988 | 45.6 | 29 |
| 1.942 | 46.8 | 33 |

Cell and atoms:
```
data_Bi2Au2S5
_chemical_formula_sum 'Bi4 Au4 S10'
_symmetry_space_group_name_H-M 'C 1 2/m 1'
_symmetry_Int_Tables_number 12
_cell_length_a 16.118
_cell_length_b 4.156
_cell_length_c 6.793
_cell_angle_alpha 90.00
_cell_angle_beta 96.73
_cell_angle_gamma 90.00
loop_
_symmetry_equiv_pos_as_xyz
'x,y,z'
'-x,-y,-z'
'-x,y,-z'
'x,-y,z'
'x+1/2,y+1/2,z'
'-x+1/2,-y+1/2,-z'
'-x+1/2,y+1/2,-z'
'x+1/2,-y+1/2,z'
loop_
_atom_site_label
_atom_site_type_symbol
_atom_site_fract_x
_atom_site_fract_y
_atom_site_fract_z
Bi1 Bi 0.063 0.000 0.307
Au1 Au 0.148 0.500 0.877
S1 S 0.000 0.500 0.000
S2 S 0.140 0.500 0.508
S3 S 0.179 0.000 0.066
```

---

[5]
Theoretical X-ray diffraction stick pattern of Rb2Ba8LiSb6O2 for a wavelength of 1.5418 Å, from a DFT-relaxed cell (GGA-PBE, Alexandria).

Principal peaks in the range 10° ≤ 2θ ≤ 90°, by angle:
| d [Å] | 2θ/deg | intensity |
| --- | --- | --- |
| 3.349 | 26.6 | 100 |
| 3.296 | 27.1 | 94 |
| 3.117 | 28.6 | 36 |
| 2.928 | 30.5 | 39 |
| 2.875 | 31.1 | 37 |
| 2.832 | 31.6 | 20 |
| 2.294 | 39.3 | 19 |
| 2.018 | 44.9 | 16 |
| 1.783 | 51.2 | 23 |
| 1.648 | 55.8 | 32 |

Cell and atoms:
```
data_Rb2Ba8LiSb6O2
_chemical_formula_sum 'Rb8 Ba32 Li4 Sb24 O8'
_symmetry_space_group_name_H-M 'F m m 2'
_symmetry_Int_Tables_number 42
_symmetry_space_group_name_Hall 'F 2 -2'
_cell_length_a 12.782
_cell_length_b 16.989
_cell_length_c 13.177
_cell_angle_alpha 90.00
_cell_angle_beta 90.00
_cell_angle_gamma 90.00
loop_
_atom_site_label
_atom_site_type_symbol
_atom_site_fract_x
_atom_site_fract_y
_atom_site_fract_z
Rb1 Rb 0.244 0.000 0.000
Ba1 Ba 0.000 0.152 0.906
Ba2 Ba 0.000 0.175 0.602
Ba3 Ba 0.155 0.148 0.259
Li1 Li 0.000 0.000 0.577
Sb1 Sb 0.000 0.000 0.126
Sb2 Sb 0.000 0.000 0.378
Sb3 Sb 0.114 0.000 0.747
Sb4 Sb 0.250 0.250 0.004
O1 O 0.000 0.244 0.260
```

---

[6]
Theoretical X-ray diffraction stick pattern of Cd11Hg for a wavelength of 1.5418 Å, from a DFT-relaxed cell (GGA-PBE, Alexandria).

Principal peaks in the range 10° ≤ 2θ ≤ 90°, by angle:
| d [Å] | 2θ/deg | intensity |
| --- | --- | --- |
| 3.116 | 28.6 | 36 |
| 2.754 | 32.5 | 100 |
| 2.738 | 32.7 | 66 |
| 2.554 | 35.1 | 30 |
| 2.357 | 38.2 | 19 |
| 2.338 | 38.5 | 64 |
| 2.244 | 40.2 | 28 |
| 2.184 | 41.3 | 12 |
| 1.584 | 58.2 | 33 |
| 1.369 | 68.5 | 16 |

Cell and atoms:
```
data_Cd11Hg
_chemical_formula_sum 'Cd44 Hg4'
_symmetry_space_group_name_H-M 'I 41/a m d'
_symmetry_Int_Tables_number 141
_cell_length_a 12.246
_cell_length_b 12.246
_cell_length_c 7.835
_cell_angle_alpha 90.00
_cell_angle_beta 90.00
_cell_angle_gamma 90.00
loop_
_symmetry_equiv_pos_as_xyz
'x,y,z'
'-x,-y,-z'
'-y+1/4,x+3/4,z+1/4'
'y+1/4,-x+3/4,-z+1/4'
'-x+1/2,-y,z+1/2'
'x+1/2,y,-z+1/2'
'y+1/4,-x+1/4,z+3/4'
'-y+1/4,x+1/4,-z+3/4'
'x,-y,-z'
'-x,y,z'
'-y+1/4,-x+1/4,-z+3/4'
'y+1/4,x+1/4,z+3/4'
'-x+1/2,y,-z+1/2'
'x+1/2,-y,z+1/2'
'y+1/4,x+3/4,-z+1/4'
'-y+1/4,-x+3/4,z+1/4'
'x+1/2,y+1/2,z+1/2'
'-x+1/2,-y+1/2,-z+1/2'
'-y+3/4,x+1/4,z+3/4'
'y+3/4,-x+1/4,-z+3/4'
'-x,-y+1/2,z'
'x,y+1/2,-z'
'y+3/4,-x+3/4,z+1/4'
'-y+3/4,x+3/4,-z+1/4'
'x+1/2,-y+1/2,-z+1/2'
'-x+1/2,y+1/2,z+1/2'
'-y+3/4,-x+3/4,-z+1/4'
'y+3/4,x+3/4,z+1/4'
'-x,y+1/2,-z'
'x,-y+1/2,z'
'y+3/4,x+1/4,-z+3/4'
'-y+3/4,-x+1/4,z+3/4'
loop_
_atom_site_label
_atom_site_type_symbol
_atom_site_fract_x
_atom_site_fract_y
_atom_site_fract_z
Cd1 Cd 0.000 0.000 0.000
Cd2 Cd 0.000 0.250 0.875
Cd3 Cd 0.120 0.048 0.672
Hg1 Hg 0.000 0.250 0.375
```